# 1
Starting from a structure optimized by DFT (GGA+U), the XRD peak list of Ba3MnAs2O8 was calculated for λ = 1.5418 Å (Cu Kα).
Lines closer than 0.1° are merged.

Cell and atoms:
```
14
Lattice="5.9468 0.0000 0.0000 -2.9734 5.1501 0.0000 0.0000 0.0000 7.6391" Properties=species:S:1:pos:R:3 pbc="T T T"
Ba 0.0000 0.0000 0.0000
Ba 0.0000 3.4334 4.9632
Ba 2.9734 1.7167 2.6759
Mn 0.0000 0.0000 3.8196
As 0.0000 3.4334 1.6475
As 2.9734 1.7167 5.9917
O 0.0000 1.7182 2.4490
O -1.4854 4.2909 2.4490
O 0.0000 3.4334 7.4831
O 1.4880 0.8591 5.1901
O 1.4854 4.2909 2.4490
O 2.9734 1.7167 0.1561
O 4.4587 0.8591 5.1901
O 2.9734 3.4318 5.1901
```

The 10 most intense peaks (15° ≤ 2θ ≤ 90°), sorted by position:
| Position (°2θ) | Rel. int. |
| --- | --- |
| 20.8 | 17 |
| 29.1 | 78 |
| 30.1 | 100 |
| 36.8 | 12 |
| 42.3 | 43 |
| 51.0 | 12 |
| 52.8 | 30 |
| 53.4 | 19 |
| 62.5 | 17 |
| 70.4 | 13 |

=====

# 2
Starting from a structure optimized by DFT (GGA+U), the XRD peak list of LiNiP3O9 was calculated for λ = 1.5418 Å (Cu Kα).
Lines closer than 0.1° are merged.

Cell and atoms:
```
28
Lattice="6.4696 0.0000 0.0000 0.2223 7.0268 0.0000 0.4202 1.9441 7.1672" Properties=species:S:1:pos:R:3 pbc="T T T"
Li 1.1798 0.3833 1.0170
Li 5.9323 8.5876 6.1502
Ni 1.0541 4.3674 0.9886
Ni 6.0580 4.6035 6.1786
P 1.1710 2.8820 3.9698
P 2.7017 7.7932 5.5452
P 2.7305 4.8491 5.6072
P 4.3815 4.1218 1.5600
P 4.4104 1.1777 1.6220
P 5.9411 6.0889 3.1974
O 0.6169 5.9723 2.2157
O 0.9032 2.9775 2.5042
O 1.6189 7.8706 6.6241
O 1.6152 4.7885 6.6565
O 1.8889 1.4704 4.2044
O 2.3026 3.9733 4.3384
O 2.7508 6.2984 4.9365
O 3.0334 4.5327 1.1095
O 3.0489 0.6767 1.3394
O 4.0632 8.2942 5.8278
O 4.0787 4.4382 6.0577
O 4.3613 2.6725 2.2307
O 4.8095 4.9976 2.8288
O 5.2232 7.5005 2.9628
O 5.4969 4.1824 0.5107
O 5.4932 1.1003 0.5431
O 6.2089 5.9933 4.6630
O 6.4952 2.9986 4.9515
```

The 10 most intense peaks (15° ≤ 2θ ≤ 90°), sorted by position:
| Position (°2θ) | Rel. int. |
| --- | --- |
| 20.1 | 99 |
| 20.2 | 32 |
| 21.3 | 36 |
| 24.3 | 53 |
| 29.1 | 59 |
| 29.8 | 40 |
| 30.9 | 55 |
| 31.0 | 66 |
| 31.2 | 93 |
| 32.0 | 100 |

=====

# 3
Starting from a structure optimized by DFT (GGA+U), the XRD peak list of NiBPdO4 was calculated for λ = 1.5418 Å (Cu Kα).
Lines closer than 0.1° are merged.

Cell and atoms:
```
14
Lattice="2.6256 -3.9984 0.0000 2.6256 3.9984 0.0000 0.0000 0.0000 6.2648" Properties=species:S:1:pos:R:3 pbc="T T T"
Ni 0.0000 0.0000 0.0000
Ni 0.0000 0.0000 3.1324
B 2.6256 1.1311 4.6986
B 2.6256 -1.1311 1.5662
Pd 2.6256 1.6307 1.5662
Pd 2.6256 -1.6307 4.6986
O 1.4092 0.2468 4.6986
O 2.6256 1.9963 3.5277
O 2.6256 1.9963 5.8695
O 1.4092 -0.2468 1.5662
O 3.8420 0.2468 4.6986
O 2.6256 -1.9963 0.3953
O 2.6256 -1.9963 2.7371
O 3.8420 -0.2468 1.5662
```

The 10 most intense peaks (15° ≤ 2θ ≤ 90°), sorted by position:
| Position (°2θ) | Rel. int. |
| --- | --- |
| 24.8 | 100 |
| 34.1 | 53 |
| 35.2 | 65 |
| 36.4 | 29 |
| 37.9 | 56 |
| 45.4 | 17 |
| 47.8 | 17 |
| 48.3 | 37 |
| 50.8 | 53 |
| 68.2 | 24 |